Record 1
The following is a simulated powder diffractogram of Li2Fe4OF8. It was derived from a DFT-relaxed cell (PBE+U, the Materials Project), using Cu Kα (weighted mean of Kα1 and Kα2).
Lines closer than 0.1° are merged.

Cell and atoms:
```
data_Li2Fe4OF8
_space_group_name_H-M_alt 'P -1'
_space_group_IT_number 2
_cell_length_a 6.5576
_cell_length_b 8.0394
_cell_length_c 9.1438
_cell_angle_alpha 67.34
_cell_angle_beta 70.16
_cell_angle_gamma 74.13
loop_
_space_group_symop_operation_xyz
'x,y,z'
'-x,-y,-z'
loop_
_atom_site_label
_atom_site_fract_x
_atom_site_fract_y
_atom_site_fract_z
Li1 0.0982 0.2852 0.4367
Li2 0.2371 0.7415 0.8393
Fe1 0.1927 0.3277 0.7776
Fe2 0.3494 0.6466 0.2402
Fe3 0.3627 0.1188 0.0879
Fe4 0.4317 0.8880 0.4173
O1 0.4644 0.1411 0.8275
F1 0.0676 0.2359 0.0366
F2 0.0889 0.5248 0.2784
F3 0.2003 0.7272 0.4433
F4 0.2121 0.1153 0.3267
F5 0.2947 0.3140 0.5384
F6 0.3422 0.9315 0.6434
F7 0.3470 0.5233 0.7799
F8 0.3822 0.7350 0.9914
```

Principal peaks in the range 2θ from 10° to 90°, by angle:
| hkl | 2theta | intensity |
| --- | --- | --- |
| 0 1 1 | 13.4 | 55 |
| 1 0 0 | 14.6 | 100 |
| 1 1 0 | 17.4 | 50 |
| 0 1 -1 | 18.7 | 42 |
| 0 2 1 | 23.2 | 74 |
| 0 1 -2 | 28.3 | 40 |
| 2 2 1 | 31.7 | 38 |
| 2 3 1 | 39.6 | 61 |
| 0 1 4 | 42.1 | 56 |
| 2 -2 1 | 43.2 | 49 |

---

Record 2
The following is a simulated powder diffractogram of LiFe7O7F. It was derived from a DFT-relaxed cell (PBE+U, the Materials Project), using Cu Kα (weighted mean of Kα1 and Kα2).
Lines closer than 0.1° are merged.

Cell and atoms:
```
data_LiFe7O7F
_space_group_name_H-M_alt 'A m m 2'
_space_group_IT_number 38
_cell_length_a 17.7295
_cell_length_b 3.6495
_cell_length_c 6.1186
_cell_angle_alpha 90.00
_cell_angle_beta 90.00
_cell_angle_gamma 90.00
loop_
_space_group_symop_operation_xyz
'x,y,z'
'-x,-y,z'
'-x,y,z'
'x,-y,z'
'x,y+1/2,z+1/2'
'-x,-y+1/2,z+1/2'
'-x,y+1/2,z+1/2'
'x,-y+1/2,z+1/2'
loop_
_atom_site_label
_atom_site_fract_x
_atom_site_fract_y
_atom_site_fract_z
Li1 0.0000 0.0000 0.0000
Fe1 0.1244 0.0000 0.6637
Fe2 0.2486 0.0000 0.0006
Fe3 0.3753 0.0000 0.6724
Fe4 0.5000 0.0000 0.0036
O1 0.1207 0.0000 0.9943
O2 0.2495 0.0000 0.6463
O3 0.3753 0.0000 0.0003
O4 0.5000 0.0000 0.6497
F1 0.0000 0.0000 0.6592
```

Principal peaks in the range 2θ from 10° to 90°, by angle:
| hkl | 2theta | intensity |
| --- | --- | --- |
| 0 1 1 | 28.5 | 100 |
| 0 0 2 | 29.2 | 51 |
| 4 1 1 | 35.1 | 86 |
| 4 0 2 | 35.7 | 44 |
| 8 0 0 | 40.7 | 70 |
| 0 2 0 | 50.0 | 36 |
| 8 1 1 | 50.4 | 35 |
| 0 1 3 | 51.3 | 65 |
| 8 2 0 | 66.4 | 27 |
| 8 1 3 | 67.5 | 50 |

---

Record 3
The following is a simulated powder diffractogram of LiFe2O3F. It was derived from a DFT-relaxed cell (PBE+U, the Materials Project), using Cu Kα (weighted mean of Kα1 and Kα2).
Lines closer than 0.1° are merged.

Cell and atoms:
```
data_LiFe2O3F
_space_group_name_H-M_alt 'C 1 c 1'
_space_group_IT_number 9
_cell_length_a 13.5278
_cell_length_b 8.4995
_cell_length_c 5.9907
_cell_angle_alpha 90.00
_cell_angle_beta 115.80
_cell_angle_gamma 90.00
loop_
_space_group_symop_operation_xyz
'x,y,z'
'x,-y,z+1/2'
'x+1/2,y+1/2,z'
'x+1/2,-y+1/2,z+1/2'
loop_
_atom_site_label
_atom_site_fract_x
_atom_site_fract_y
_atom_site_fract_z
Li1 0.0000 0.1197 0.0000
Li2 0.2649 0.1297 0.2921
Fe1 0.0041 0.4856 0.7629
Fe2 0.1379 0.2281 0.6700
Fe3 0.2585 0.4976 0.5357
Fe4 0.3747 0.2531 0.9033
O1 0.0065 0.2549 0.7404
O2 0.1270 0.4821 0.6403
O3 0.2533 0.2624 0.0083
O4 0.2545 0.2623 0.5536
O5 0.3658 0.4903 0.8894
O6 0.3991 0.0156 0.9065
F1 0.0101 0.2509 0.2824
F2 0.1334 0.0009 0.6455
```

Principal peaks in the range 2θ from 10° to 90°, by angle:
| hkl | 2theta | intensity |
| --- | --- | --- |
| 1 1 0 | 12.7 | 76 |
| 1 1 -1 | 18.1 | 100 |
| 3 1 0 | 24.3 | 35 |
| 1 3 0 | 32.5 | 27 |
| 3 1 1 | 34.6 | 16 |
| 5 1 -1 | 34.8 | 18 |
| 2 0 2 | 42.1 | 42 |
| 6 0 -2 | 42.5 | 79 |
| 2 4 2 | 61.4 | 23 |
| 6 4 -2 | 61.7 | 23 |

---

Record 4
The following is a simulated powder diffractogram of Li2FeO2F. It was derived from a DFT-relaxed cell (PBE+U, the Materials Project), using Cu Kα (weighted mean of Kα1 and Kα2).
Lines closer than 0.1° are merged.

Cell and atoms:
```
data_Li2FeO2F
_space_group_name_H-M_alt 'C 1 2/c 1'
_space_group_IT_number 15
_cell_length_a 5.1930
_cell_length_b 8.9657
_cell_length_c 9.8489
_cell_angle_alpha 90.00
_cell_angle_beta 99.79
_cell_angle_gamma 90.00
loop_
_space_group_symop_operation_xyz
'x,y,z'
'-x,-y,-z'
'-x,y,-z+1/2'
'x,-y,z+1/2'
'x+1/2,y+1/2,z'
'-x+1/2,-y+1/2,-z'
'-x+1/2,y+1/2,-z+1/2'
'x+1/2,-y+1/2,z+1/2'
loop_
_atom_site_label
_atom_site_fract_x
_atom_site_fract_y
_atom_site_fract_z
Li1 0.0000 0.0919 0.2500
Li2 0.0000 0.2257 0.7500
Li3 0.0000 0.4002 0.2500
Li4 0.2500 0.2500 0.5000
Fe1 0.2192 0.0937 0.0015
O1 0.1229 0.0722 0.6166
O2 0.1384 0.2566 0.1182
F1 0.1168 0.4215 0.6194
```

Principal peaks in the range 2θ from 10° to 90°, by angle:
| hkl | 2theta | intensity |
| --- | --- | --- |
| 0 0 2 | 18.3 | 100 |
| 0 2 0 | 19.8 | 14 |
| 1 1 -1 | 20.7 | 42 |
| 1 1 1 | 23.2 | 30 |
| 2 0 0 | 35.1 | 14 |
| 1 3 -1 | 35.2 | 27 |
| 2 0 2 | 42.7 | 41 |
| 1 3 -3 | 42.9 | 81 |
| 3 3 -1 | 62.0 | 19 |
| 1 3 5 | 62.3 | 22 |

---

Record 5
The following is a simulated powder diffractogram of Li2FeOF3. It was derived from a DFT-relaxed cell (PBE+U, the Materials Project), using Cu Kα (weighted mean of Kα1 and Kα2).
Lines closer than 0.1° are merged.

Cell and atoms:
```
data_Li2FeOF3
_space_group_name_H-M_alt 'P 41'
_space_group_IT_number 76
_cell_length_a 5.9642
_cell_length_b 5.9642
_cell_length_c 8.5864
_cell_angle_alpha 90.00
_cell_angle_beta 90.00
_cell_angle_gamma 90.00
loop_
_space_group_symop_operation_xyz
'x,y,z'
'-y,x,z+1/4'
'-x,-y,z+1/2'
'y,-x,z+3/4'
loop_
_atom_site_label
_atom_site_fract_x
_atom_site_fract_y
_atom_site_fract_z
Li1 0.0012 0.7585 0.0000
Li2 0.2462 0.7345 0.6278
Fe1 0.2502 0.5178 0.2735
O1 0.2604 0.4726 0.4897
F1 0.0082 0.7467 0.2502
F2 0.0261 0.2624 0.2523
F3 0.2507 0.5143 0.0163
```

Principal peaks in the range 2θ from 10° to 90°, by angle:
| hkl | 2theta | intensity |
| --- | --- | --- |
| 1 0 0 | 14.9 | 48 |
| 1 0 1 | 18.1 | 100 |
| 1 1 1 | 23.5 | 70 |
| 1 0 2 | 25.6 | 32 |
| 1 0 3 | 34.8 | 20 |
| 2 1 1 | 35.2 | 31 |
| 0 0 4 | 42.1 | 35 |
| 2 2 0 | 42.9 | 69 |
| 2 2 4 | 61.7 | 41 |
| 4 0 0 | 62.3 | 20 |

---

Record 6
The following is a simulated powder diffractogram of LiFeOF. It was derived from a DFT-relaxed cell (PBE+U, the Materials Project), using Cu Kα (weighted mean of Kα1 and Kα2).
Lines closer than 0.1° are merged.

Cell and atoms:
```
data_LiFeOF
_space_group_name_H-M_alt 'P 1 2 1'
_space_group_IT_number 3
_cell_length_a 3.0231
_cell_length_b 4.4354
_cell_length_c 12.0275
_cell_angle_alpha 90.00
_cell_angle_beta 92.30
_cell_angle_gamma 90.00
loop_
_space_group_symop_operation_xyz
'x,y,z'
'-x,y,-z'
loop_
_atom_site_label
_atom_site_fract_x
_atom_site_fract_y
_atom_site_fract_z
Li1 0.0000 0.0000 0.0000
Li2 0.0000 0.0009 0.5000
Li3 0.0010 0.0006 0.2545
Fe1 0.4891 0.5028 0.6255
Fe2 0.4895 0.5026 0.8745
O1 0.0000 0.5048 0.5000
O2 0.0000 0.5074 0.0000
O3 0.0257 0.5036 0.2511
F1 0.4928 0.0042 0.8750
F2 0.4935 0.0034 0.6255
```

Principal peaks in the range 2θ from 10° to 90°, by angle:
| hkl | 2theta | intensity |
| --- | --- | --- |
| 0 1 0 | 20.0 | 100 |
| 1 0 0 | 29.6 | 46 |
| 0 0 4 | 29.7 | 46 |
| 0 2 0 | 40.7 | 57 |
| 1 0 -4 | 41.5 | 53 |
| 1 0 4 | 43.3 | 47 |
| 1 1 -4 | 46.5 | 19 |
| 1 2 0 | 51.1 | 18 |
| 1 2 -4 | 59.5 | 31 |
| 1 2 4 | 60.9 | 29 |

---

Q: What is the formula in the second record?
A: LiFe7O7F